# 1
Theoretical PXRD pattern of Ba2Tl4Hg for Cu Kα (λ = 1.5418 Å), from the PBE geometry in Alexandria.
Kinematic intensities with the Lorentz-polarization factor, no thermal factor.

Structure:
Cell: 7.017 7.248 9.972 Å, 90.00 104.32 90.00°
Atoms (fractional coordinates):
Ba: 0.116 0.250 0.411
Ba: 0.270 0.750 0.024
Ba: 0.730 0.250 0.976
Ba: 0.884 0.750 0.589
Tl: 0.259 0.250 0.101
Tl: 0.303 0.750 0.409
Tl: 0.404 0.521 0.699
Tl: 0.404 0.979 0.699
Tl: 0.596 0.021 0.301
Tl: 0.596 0.479 0.301
Tl: 0.697 0.250 0.591
Tl: 0.741 0.750 0.899
Hg: 0.114 0.250 0.786
Hg: 0.886 0.750 0.214

Principal peaks in the range 10° ≤ 2θ ≤ 80°, by angle:
d_spacing	2θ (°)	Rel. int.
3.198	27.90	54.6
3.178	28.08	100.0
3.078	29.01	57.8
2.956	30.24	73.3
2.937	30.44	52.6
2.901	30.82	50.8
2.822	31.70	63.5
2.667	33.61	95.3
2.513	35.73	57.3
1.812	50.35	49.5


# 2
Theoretical PXRD pattern of Dy3Zr2UN6 for Cu Kα (λ = 1.5418 Å), from the PBE geometry in Alexandria.
Kinematic intensities with the Lorentz-polarization factor, no thermal factor.

Structure:
Cell: 5.850 5.850 5.876 Å, 99.43 99.43 120.09°
Atoms (fractional coordinates):
Dy: 0.000 0.000 0.000
Dy: 0.331 0.669 0.000
Dy: 0.669 0.331 0.000
Zr: 0.167 0.833 0.500
Zr: 0.833 0.167 0.500
U: 0.500 0.500 0.500
N: 0.096 0.423 0.268
N: 0.251 0.251 0.728
N: 0.423 0.096 0.268
N: 0.577 0.904 0.732
N: 0.749 0.749 0.272
N: 0.904 0.577 0.732

Principal peaks in the range 10° ≤ 2θ ≤ 80°, by angle:
d_spacing	2θ (°)	Rel. int.
2.775	32.25	35.7
2.759	32.46	100.0
2.395	37.55	64.8
2.387	37.68	32.1
1.698	54.01	11.0
1.694	54.12	21.9
1.688	54.35	32.6
1.444	64.56	24.7
1.440	64.72	19.6
1.379	67.97	16.4


# 3
Theoretical PXRD pattern of CsCePbO4 for Cu Kα (λ = 1.5418 Å), from the PBE geometry in Alexandria.
Kinematic intensities with the Lorentz-polarization factor, no thermal factor.

Structure:
Cell: 7.415 7.415 7.415 Å, 121.25 117.90 90.76°
Atoms (fractional coordinates):
Cs: 0.386 0.136 0.250
Cs: 0.614 0.864 0.750
Ce: 0.000 0.000 0.500
Ce: 0.000 0.500 0.000
Pb: 0.000 0.500 0.500
Pb: 0.500 0.500 0.000
O: 0.168 0.740 0.428
O: 0.189 0.260 0.928
O: 0.223 0.278 0.555
O: 0.223 0.668 0.945
O: 0.777 0.332 0.055
O: 0.777 0.722 0.445
O: 0.811 0.740 0.072
O: 0.832 0.260 0.572

Principal peaks in the range 10° ≤ 2θ ≤ 80°, by angle:
d_spacing	2θ (°)	Rel. int.
5.964	14.85	38.3
3.705	24.02	27.8
3.220	27.71	82.3
3.162	28.22	22.1
3.133	28.49	100.0
3.083	28.96	44.2
2.982	29.96	30.7
2.010	45.11	40.5
1.853	49.18	56.0
1.567	58.96	23.4